No. 1
Starting from a structure optimized by DFT (GGA-PBE), the XRD peak list of ErAlW was calculated for λ = 1.5418 Å (Cu Kα).
Kinematic intensities with the Lorentz-polarization factor, no thermal factor.

Cell: 11.080 10.315 5.552 Å, 82.75 67.44 29.81°
Atoms (fractional coordinates):
Er (0.034, 0.716, 0.034)
Er (0.284, 0.966, 0.284)
Er (0.716, 0.034, 0.716)
Er (0.966, 0.284, 0.966)
Al (0.276, 0.276, 0.474)
Al (0.474, 0.474, 0.276)
Al (0.526, 0.526, 0.724)
Al (0.724, 0.724, 0.526)
W (0.001, 0.001, 0.749)
W (0.251, 0.251, 0.999)
W (0.749, 0.749, 0.001)
W (0.999, 0.999, 0.251)

Largest 10 diffraction maxima, sorted by position, 10° ≤ 2θ ≤ 90°:
Position (°2θ)  I (rel.)
19.39  100.0
34.55  18.7
35.06  50.4
36.08  35.4
36.93  31.8
39.59  29.7
41.36  37.8
42.50  52.9
61.12  13.1
79.02  14.3



No. 2
Starting from a structure optimized by DFT (GGA-PBE), the XRD peak list of Y8Er2Al was calculated for λ = 1.5418 Å (Cu Kα).
Kinematic intensities with the Lorentz-polarization factor, no thermal factor.

Cell: 9.975 9.975 6.425 Å, 93.84 93.84 31.94°
Atoms (fractional coordinates):
Y (0.043, 0.043, 0.253)
Y (0.156, 0.156, 0.809)
Y (0.342, 0.342, 0.876)
Y (0.422, 0.422, 0.397)
Y (0.578, 0.578, 0.603)
Y (0.658, 0.658, 0.124)
Y (0.844, 0.844, 0.191)
Y (0.957, 0.957, 0.747)
Er (0.241, 0.241, 0.336)
Er (0.759, 0.759, 0.664)
Al (0.500, 0.500, 0.000)

Largest 10 diffraction maxima, sorted by position, 10° ≤ 2θ ≤ 90°:
Position (°2θ)  I (rel.)
30.43  19.0
31.00  21.2
32.44  100.0
32.62  29.7
45.21  13.1
47.82  8.5
58.10  18.3
59.09  9.2
60.71  6.7
61.21  6.8



No. 3
Starting from a structure optimized by DFT (GGA-PBE), the XRD peak list of YEr4Al15 was calculated for λ = 1.5418 Å (Cu Kα).
Kinematic intensities with the Lorentz-polarization factor, no thermal factor.

Cell: 12.427 12.427 12.427 Å, 28.35 28.35 28.35°
Atoms (fractional coordinates):
Y (0.000, 0.000, 0.000)
Er (0.131, 0.131, 0.131)
Er (0.400, 0.400, 0.400)
Er (0.600, 0.600, 0.600)
Er (0.869, 0.869, 0.869)
Al (0.000, 0.500, 0.500)
Al (0.118, 0.118, 0.565)
Al (0.118, 0.565, 0.118)
Al (0.131, 0.636, 0.636)
Al (0.364, 0.364, 0.869)
Al (0.364, 0.869, 0.364)
Al (0.435, 0.882, 0.882)
Al (0.500, 0.000, 0.500)
Al (0.500, 0.500, 0.000)
Al (0.565, 0.118, 0.118)
Al (0.636, 0.131, 0.636)
Al (0.636, 0.636, 0.131)
Al (0.869, 0.364, 0.364)
Al (0.882, 0.435, 0.882)
Al (0.882, 0.882, 0.435)

Largest 10 diffraction maxima, sorted by position, 10° ≤ 2θ ≤ 90°:
Position (°2θ)  I (rel.)
19.55  100.0
24.26  58.2
26.14  55.4
29.35  84.1
35.52  65.8
37.73  49.1
38.44  60.9
39.71  59.5
48.51  41.6
73.90  39.1



No. 4
Starting from a structure optimized by DFT (GGA-PBE), the XRD peak list of Y2Er3Al4 was calculated for λ = 1.5418 Å (Cu Kα).
Kinematic intensities with the Lorentz-polarization factor, no thermal factor.

Cell: 10.229 10.229 7.570 Å, 90.00 90.00 144.91°
Atoms (fractional coordinates):
Y (0.090, 0.910, 0.897)
Y (0.410, 0.590, 0.397)
Y (0.590, 0.410, 0.603)
Y (0.910, 0.090, 0.103)
Er (0.000, 0.000, 0.500)
Er (0.002, 0.498, 0.750)
Er (0.498, 0.002, 0.250)
Er (0.500, 0.500, 0.000)
Er (0.502, 0.998, 0.750)
Er (0.998, 0.502, 0.250)
Al (0.151, 0.849, 0.511)
Al (0.163, 0.337, 0.750)
Al (0.337, 0.163, 0.250)
Al (0.349, 0.651, 0.011)
Al (0.651, 0.349, 0.989)
Al (0.663, 0.837, 0.750)
Al (0.837, 0.663, 0.250)
Al (0.849, 0.151, 0.489)

Largest 10 diffraction maxima, sorted by position, 10° ≤ 2θ ≤ 90°:
Position (°2θ)  I (rel.)
18.19  42.7
25.24  100.0
29.55  56.1
30.40  78.1
36.43  55.0
37.35  31.7
37.63  67.3
42.10  35.3
53.70  26.3
64.49  35.3



No. 5
Starting from a structure optimized by DFT (GGA-PBE), the XRD peak list of Er5Al4Zn was calculated for λ = 1.5418 Å (Cu Kα).
Kinematic intensities with the Lorentz-polarization factor, no thermal factor.

Cell: 3.547 3.547 17.940 Å, 90.00 90.00 90.00°
Atoms (fractional coordinates):
Er (0.000, 0.000, 0.000)
Er (0.000, 0.000, 0.201)
Er (0.000, 0.000, 0.403)
Er (0.000, 0.000, 0.597)
Er (0.000, 0.000, 0.799)
Al (0.500, 0.500, 0.100)
Al (0.500, 0.500, 0.302)
Al (0.500, 0.500, 0.698)
Al (0.500, 0.500, 0.900)
Zn (0.500, 0.500, 0.500)

Largest 10 diffraction maxima, sorted by position, 10° ≤ 2θ ≤ 90°:
Position (°2θ)  I (rel.)
24.82  25.7
25.11  50.3
35.59  100.0
35.80  49.4
44.05  23.0
51.53  17.5
57.57  10.4
63.79  18.1
64.19  35.9
75.36  11.1



No. 6
Starting from a structure optimized by DFT (GGA-PBE), the XRD peak list of Er2AlZn7 was calculated for λ = 1.5418 Å (Cu Kα).
Kinematic intensities with the Lorentz-polarization factor, no thermal factor.

Cell: 4.076 4.076 10.863 Å, 90.00 90.00 90.00°
Atoms (fractional coordinates):
Er (0.000, 0.500, 0.249)
Er (0.500, 0.000, 0.751)
Al (0.500, 0.500, 0.000)
Zn (0.000, 0.000, 0.000)
Zn (0.000, 0.000, 0.500)
Zn (0.000, 0.500, 0.638)
Zn (0.000, 0.500, 0.860)
Zn (0.500, 0.000, 0.140)
Zn (0.500, 0.000, 0.362)
Zn (0.500, 0.500, 0.500)

Largest 10 diffraction maxima, sorted by position, 10° ≤ 2θ ≤ 90°:
Position (°2θ)  I (rel.)
31.03  25.4
33.09  68.9
35.25  100.0
44.46  49.3
47.42  40.1
56.51  35.8
64.69  15.5
67.02  27.7
75.87  20.6
86.04  11.9